Diffraction record for Ac2Pm4NdTm. The X-ray powder pattern is simulated, not measured: it uses a cell relaxed with GGA-PBE and a wavelength of 1.5418 Å.
Intensities are scaled so that the largest is 1000.

abc: 9.848 9.848 7.163
angles: 111.31 111.31 88.43
Sites, in units of the cell vectors:
Ac1 0.000 0.000 0.000
Ac2 0.000 0.000 0.500
Ac3 0.000 0.500 0.000
Ac4 0.500 0.000 0.500
Pm1 0.258 0.276 0.518
Pm2 0.265 0.735 0.515
Pm3 0.265 0.735 0.985
Pm4 0.276 0.258 0.018
Pm5 0.724 0.742 0.982
Pm6 0.735 0.265 0.015
Pm7 0.735 0.265 0.485
Pm8 0.742 0.724 0.482
Nd1 0.000 0.500 0.500
Nd2 0.500 0.000 0.000
Tm1 0.500 0.500 0.000
Tm2 0.500 0.500 0.500

Peak list (10 most intense, 15° ≤ 2θ ≤ 90°, in order of rising 2θ)
2θ/deg	d (Å)	intensity
25.95	3.434	643
28.93	3.086	1000
29.37	3.041	498
39.25	2.295	854
39.58	2.277	409
51.81	1.765	198
58.10	1.588	136
58.84	1.569	245
61.83	1.500	202
66.42	1.408	175

Diffraction record for AcPm4Nd2Tm. The X-ray powder pattern is simulated, not measured: it uses a cell relaxed with GGA-PBE and a wavelength of 1.5418 Å.
Intensities are scaled so that the largest is 1000.

abc: 9.734 9.734 7.033
angles: 111.12 111.12 88.52
Sites, in units of the cell vectors:
Ac1 0.000 0.500 0.000
Ac2 0.500 0.000 0.500
Pm1 0.237 0.252 0.489
Pm2 0.242 0.757 0.514
Pm3 0.243 0.758 0.986
Pm4 0.252 0.237 0.989
Pm5 0.748 0.763 0.011
Pm6 0.757 0.242 0.014
Pm7 0.758 0.243 0.486
Pm8 0.763 0.748 0.511
Nd1 0.000 0.500 0.500
Nd2 0.500 0.000 0.000
Nd3 0.500 0.500 0.000
Nd4 0.500 0.500 0.500
Tm1 0.000 0.000 0.000
Tm2 0.000 0.000 0.500

Peak list (10 most intense, 15° ≤ 2θ ≤ 90°, in order of rising 2θ)
2θ/deg	d (Å)	intensity
26.24	3.397	664
29.41	3.037	1000
29.66	3.012	493
39.82	2.264	875
40.01	2.254	435
59.17	1.561	134
59.60	1.551	267
61.02	1.518	124
62.67	1.482	221
67.58	1.386	179

Diffraction record for AcPm2NdY5. The X-ray powder pattern is simulated, not measured: it uses a cell relaxed with GGA-PBE and a wavelength of 1.5418 Å.
Intensities are scaled so that the largest is 1000.

abc: 10.088 10.088 10.088
angles: 127.67 127.67 77.16
Sites, in units of the cell vectors:
Ac1 0.250 0.750 0.500
Ac2 0.750 0.250 0.500
Pm1 0.114 0.614 0.729
Pm2 0.386 0.114 0.500
Pm3 0.614 0.886 0.500
Pm4 0.886 0.386 0.271
Nd1 0.250 0.250 0.000
Nd2 0.750 0.750 0.000
Y1 0.000 0.000 0.000
Y2 0.080 0.158 0.500
Y3 0.158 0.658 0.078
Y4 0.342 0.420 0.500
Y5 0.420 0.920 0.078
Y6 0.500 0.500 0.000
Y7 0.580 0.080 0.922
Y8 0.658 0.580 0.500
Y9 0.842 0.342 0.922
Y10 0.920 0.842 0.500

Peak list (10 most intense, 15° ≤ 2θ ≤ 90°, in order of rising 2θ)
2θ/deg	d (Å)	intensity
28.13	3.173	384
28.38	3.145	498
30.29	2.951	1000
33.83	2.650	183
36.35	2.472	150
36.87	2.438	193
42.23	2.140	279
46.04	1.972	143
51.45	1.776	243
54.97	1.670	149

Diffraction record for Ac5PmNd2Y. The X-ray powder pattern is simulated, not measured: it uses a cell relaxed with GGA-PBE and a wavelength of 1.5418 Å.
Intensities are scaled so that the largest is 1000.

abc: 11.704 11.704 11.128
angles: 90.00 90.00 150.98
Sites, in units of the cell vectors:
Ac1 0.000 0.000 0.000
Ac2 0.000 0.000 0.500
Ac3 0.130 0.870 0.750
Ac4 0.219 0.781 0.064
Ac5 0.219 0.781 0.436
Ac6 0.497 0.503 0.750
Ac7 0.503 0.497 0.250
Ac8 0.781 0.219 0.564
Ac9 0.781 0.219 0.936
Ac10 0.870 0.130 0.250
Pm1 0.304 0.696 0.750
Pm2 0.696 0.304 0.250
Nd1 0.387 0.613 0.008
Nd2 0.387 0.613 0.492
Nd3 0.613 0.387 0.508
Nd4 0.613 0.387 0.992
Y1 0.099 0.901 0.250
Y2 0.901 0.099 0.750

Peak list (10 most intense, 15° ≤ 2θ ≤ 90°, in order of rising 2θ)
2θ/deg	d (Å)	intensity
24.88	3.579	139
25.01	3.560	212
28.75	3.105	307
29.64	3.014	1000
30.48	2.933	352
32.18	2.782	157
39.76	2.267	133
44.91	2.018	126
53.17	1.723	163
53.64	1.709	197